1.
Diffraction record for BaNa3Hg3. The X-ray powder pattern is calculated, not measured: it uses a structure optimized by DFT (GGA-PBE) and Cu Kα.
Kinematic intensities with the Lorentz-polarization factor, no thermal factor.

Crystal structure
a b c (Å): 9.961 5.211 9.966
angles (deg): 90.00 119.96 90.00
Positions (direct):
Ba  0.167  0.250  0.333
Ba  0.833  0.750  0.667
Na  0.249  0.250  0.978
Na  0.270  0.750  0.748
Na  0.478  0.750  0.230
Na  0.522  0.250  0.770
Na  0.730  0.250  0.252
Na  0.751  0.750  0.022
Hg  0.049  0.250  0.613
Hg  0.114  0.750  0.065
Hg  0.435  0.750  0.549
Hg  0.565  0.250  0.451
Hg  0.886  0.250  0.935
Hg  0.951  0.750  0.387

Most intense lines, 2θ from 10° to 90°, by angle:
8.631 Å, 2θ 10.25, rel. 64.9; 4.315 Å, 2θ 20.58, rel. 20.5; 3.601 Å, 2θ 24.72, rel. 38.3; 3.262 Å, 2θ 27.34, rel. 27.2; 2.765 Å, 2θ 32.38, rel. 100.0; 2.606 Å, 2θ 34.42, rel. 22.4

---

2.
Diffraction record for Ba6NaHg5. The X-ray powder pattern is calculated, not measured: it uses a structure optimized by DFT (GGA-PBE) and Cu Kα.
Kinematic intensities with the Lorentz-polarization factor, no thermal factor.

Crystal structure
a b c (Å): 10.391 10.391 10.391
angles (deg): 146.42 131.42 60.35
Positions (direct):
Ba  0.069  0.327  0.741
Ba  0.233  0.000  0.233
Ba  0.414  0.673  0.741
Ba  0.586  0.327  0.259
Ba  0.767  0.000  0.767
Ba  0.931  0.673  0.259
Na  0.500  0.500  0.000
Hg  0.000  0.500  0.500
Hg  0.167  0.167  0.000
Hg  0.343  0.843  0.500
Hg  0.657  0.157  0.500
Hg  0.833  0.833  0.000

Most intense lines, 2θ from 10° to 90°, by angle:
3.008 Å, 2θ 29.70, rel. 100.0; 2.994 Å, 2θ 29.84, rel. 19.2; 2.120 Å, 2θ 42.66, rel. 14.6; 1.740 Å, 2θ 52.59, rel. 15.6; 1.733 Å, 2θ 52.82, rel. 30.7; 1.342 Å, 2θ 70.15, rel. 9.8

---

3.
Diffraction record for BaNa5Hg3. The X-ray powder pattern is calculated, not measured: it uses a structure optimized by DFT (GGA-PBE) and Cu Kα.
Kinematic intensities with the Lorentz-polarization factor, no thermal factor.

Crystal structure
a b c (Å): 8.783 8.783 13.554
angles (deg): 90.00 90.00 144.66
Positions (direct):
Ba  0.148  0.852  0.750
Ba  0.852  0.148  0.250
Na  0.000  0.000  0.000
Na  0.000  0.000  0.500
Na  0.197  0.803  0.068
Na  0.197  0.803  0.432
Na  0.436  0.564  0.634
Na  0.436  0.564  0.866
Na  0.564  0.436  0.134
Na  0.564  0.436  0.366
Na  0.803  0.197  0.568
Na  0.803  0.197  0.932
Hg  0.068  0.932  0.250
Hg  0.381  0.619  0.080
Hg  0.381  0.619  0.420
Hg  0.619  0.381  0.580
Hg  0.619  0.381  0.920
Hg  0.932  0.068  0.750

Most intense lines, 2θ from 10° to 90°, by angle:
4.184 Å, 2θ 21.23, rel. 46.8; 4.065 Å, 2θ 21.87, rel. 100.0; 3.376 Å, 2θ 26.40, rel. 48.6; 2.819 Å, 2θ 31.74, rel. 57.6; 2.401 Å, 2θ 37.45, rel. 56.3; 2.216 Å, 2θ 40.72, rel. 48.0

---

4.
Diffraction record for Ba3Na2Hg9. The X-ray powder pattern is calculated, not measured: it uses a structure optimized by DFT (GGA-PBE) and Cu Kα.
Kinematic intensities with the Lorentz-polarization factor, no thermal factor.

Crystal structure
a b c (Å): 9.883 9.883 9.883
angles (deg): 150.54 113.51 74.36
Positions (direct):
Ba  0.000  0.000  0.000
Ba  0.287  0.287  0.000
Ba  0.713  0.713  0.000
Na  0.316  0.500  0.816
Na  0.684  0.500  0.184
Hg  0.015  0.657  0.358
Hg  0.155  0.864  0.291
Hg  0.300  0.657  0.642
Hg  0.428  0.136  0.291
Hg  0.500  0.000  0.500
Hg  0.572  0.864  0.709
Hg  0.700  0.343  0.358
Hg  0.845  0.136  0.709
Hg  0.985  0.343  0.642

Most intense lines, 2θ from 10° to 90°, by angle:
3.185 Å, 2θ 28.01, rel. 93.1; 3.016 Å, 2θ 29.62, rel. 97.1; 2.979 Å, 2θ 29.99, rel. 50.6; 2.933 Å, 2θ 30.48, rel. 100.0; 2.513 Å, 2θ 35.73, rel. 81.8; 2.352 Å, 2θ 38.26, rel. 53.2

---

5.
Diffraction record for BaNa2Hg2. The X-ray powder pattern is calculated, not measured: it uses a structure optimized by DFT (GGA-PBE) and Cu Kα.
Kinematic intensities with the Lorentz-polarization factor, no thermal factor.

Crystal structure
a b c (Å): 4.696 4.696 7.514
angles (deg): 90.00 90.00 90.00
Positions (direct):
Ba  0.000  0.000  0.000
Na  0.000  0.500  0.500
Na  0.500  0.000  0.500
Hg  0.500  0.500  0.209
Hg  0.500  0.500  0.791

Most intense lines, 2θ from 10° to 90°, by angle:
4.696 Å, 2θ 18.90, rel. 48.1; 3.321 Å, 2θ 26.85, rel. 69.5; 3.037 Å, 2θ 29.41, rel. 38.6; 2.934 Å, 2θ 30.47, rel. 100.0; 2.348 Å, 2θ 38.33, rel. 40.0; 1.833 Å, 2θ 49.74, rel. 51.9

---

6.
Diffraction record for Ba2NaNdHg6. The X-ray powder pattern is calculated, not measured: it uses a structure optimized by DFT (GGA-PBE) and Cu Kα.
Kinematic intensities with the Lorentz-polarization factor, no thermal factor.

Crystal structure
a b c (Å): 8.081 8.081 8.081
angles (deg): 60.00 60.00 60.00
Positions (direct):
Ba  0.250  0.250  0.250
Ba  0.750  0.750  0.750
Na  0.000  0.000  0.000
Nd  0.500  0.500  0.500
Hg  0.242  0.242  0.758
Hg  0.242  0.758  0.242
Hg  0.242  0.758  0.758
Hg  0.758  0.242  0.242
Hg  0.758  0.242  0.758
Hg  0.758  0.758  0.242

Most intense lines, 2θ from 10° to 90°, by angle:
3.299 Å, 2θ 27.03, rel. 100.0; 2.857 Å, 2θ 31.31, rel. 82.5; 2.020 Å, 2θ 44.86, rel. 61.4; 1.723 Å, 2θ 53.16, rel. 46.8; 1.650 Å, 2θ 55.72, rel. 21.5; 1.278 Å, 2θ 74.22, rel. 27.5

---

7.
Diffraction record for Ba3Na2Hg4Pb2. The X-ray powder pattern is calculated, not measured: it uses a structure optimized by DFT (GGA-PBE) and Cu Kα.
Kinematic intensities with the Lorentz-polarization factor, no thermal factor.

Crystal structure
a b c (Å): 5.233 5.233 16.810
angles (deg): 90.00 90.00 120.00
Positions (direct):
Ba  0.000  0.000  0.000
Ba  0.000  0.000  0.269
Ba  0.000  0.000  0.731
Na  0.333  0.667  0.559
Na  0.667  0.333  0.441
Hg  0.333  0.667  0.370
Hg  0.333  0.667  0.879
Hg  0.667  0.333  0.121
Hg  0.667  0.333  0.630
Pb  0.333  0.667  0.149
Pb  0.667  0.333  0.851

Most intense lines, 2θ from 10° to 90°, by angle:
3.081 Å, 2θ 28.98, rel. 99.6; 2.616 Å, 2θ 34.27, rel. 100.0; 2.221 Å, 2θ 40.62, rel. 27.2; 1.994 Å, 2θ 45.48, rel. 29.4; 1.638 Å, 2θ 56.15, rel. 29.8; 1.586 Å, 2θ 58.16, rel. 28.6

---

8.
Diffraction record for Ba2NaHgPt. The X-ray powder pattern is calculated, not measured: it uses a structure optimized by DFT (GGA-PBE) and Cu Kα.
Kinematic intensities with the Lorentz-polarization factor, no thermal factor.

Crystal structure
a b c (Å): 4.668 4.668 16.496
angles (deg): 90.00 90.00 90.00
Positions (direct):
Ba  0.250  0.250  0.093
Ba  0.250  0.250  0.715
Ba  0.750  0.750  0.285
Ba  0.750  0.750  0.907
Na  0.250  0.750  0.500
Na  0.750  0.250  0.500
Hg  0.250  0.250  0.361
Hg  0.750  0.750  0.639
Pt  0.250  0.250  0.898
Pt  0.750  0.750  0.102

Most intense lines, 2θ from 10° to 90°, by angle:
4.062 Å, 2θ 21.88, rel. 27.9; 3.300 Å, 2θ 27.02, rel. 100.0; 2.577 Å, 2θ 34.81, rel. 31.6; 2.369 Å, 2θ 37.98, rel. 24.5; 2.334 Å, 2θ 38.58, rel. 57.6; 1.476 Å, 2θ 62.97, rel. 23.6

---

9.
Diffraction record for BaNaSn2Hg4. The X-ray powder pattern is calculated, not measured: it uses a structure optimized by DFT (GGA-PBE) and Cu Kα.
Kinematic intensities with the Lorentz-polarization factor, no thermal factor.

Crystal structure
a b c (Å): 9.589 9.589 9.589
angles (deg): 32.16 32.16 32.16
Positions (direct):
Ba  0.000  0.000  0.000
Na  0.500  0.500  0.500
Sn  0.247  0.247  0.247
Sn  0.753  0.753  0.753
Hg  0.132  0.132  0.132
Hg  0.389  0.389  0.389
Hg  0.611  0.611  0.611
Hg  0.868  0.868  0.868

Most intense lines, 2θ from 10° to 90°, by angle:
3.813 Å, 2θ 23.33, rel. 23.7; 2.738 Å, 2θ 32.71, rel. 88.2; 2.656 Å, 2θ 33.74, rel. 100.0; 1.907 Å, 2θ 47.70, rel. 36.8; 1.549 Å, 2θ 59.70, rel. 35.1; 1.534 Å, 2θ 60.36, rel. 19.2

---

10.
Diffraction record for BaNaSn2Hg. The X-ray powder pattern is calculated, not measured: it uses a structure optimized by DFT (GGA-PBE) and Cu Kα.
Kinematic intensities with the Lorentz-polarization factor, no thermal factor.

Crystal structure
a b c (Å): 4.958 4.958 12.866
angles (deg): 90.00 90.00 90.00
Positions (direct):
Ba  0.000  0.000  0.000
Ba  0.500  0.500  0.500
Na  0.000  0.500  0.750
Na  0.500  0.000  0.250
Sn  0.000  0.000  0.389
Sn  0.000  0.000  0.611
Sn  0.500  0.500  0.111
Sn  0.500  0.500  0.889
Hg  0.000  0.500  0.250
Hg  0.500  0.000  0.750

Most intense lines, 2θ from 10° to 90°, by angle:
4.627 Å, 2θ 19.18, rel. 55.4; 3.244 Å, 2θ 27.50, rel. 66.7; 3.079 Å, 2θ 29.00, rel. 100.0; 2.479 Å, 2θ 36.23, rel. 62.6; 2.284 Å, 2θ 39.45, rel. 44.6; 1.680 Å, 2θ 54.64, rel. 35.1

---

11.
Diffraction record for Ba3Na2Zn2Hg4. The X-ray powder pattern is calculated, not measured: it uses a structure optimized by DFT (GGA-PBE) and Cu Kα.
Kinematic intensities with the Lorentz-polarization factor, no thermal factor.

Crystal structure
a b c (Å): 4.947 4.947 17.510
angles (deg): 90.00 90.00 120.00
Positions (direct):
Ba  0.000  0.000  0.000
Ba  0.000  0.000  0.253
Ba  0.000  0.000  0.747
Na  0.333  0.667  0.558
Na  0.667  0.333  0.442
Zn  0.333  0.667  0.129
Zn  0.667  0.333  0.871
Hg  0.333  0.667  0.370
Hg  0.333  0.667  0.872
Hg  0.667  0.333  0.128
Hg  0.667  0.333  0.630

Most intense lines, 2θ from 10° to 90°, by angle:
3.848 Å, 2θ 23.11, rel. 71.2; 3.062 Å, 2θ 29.17, rel. 100.0; 2.474 Å, 2θ 36.32, rel. 72.0; 2.412 Å, 2θ 37.28, rel. 27.4; 1.924 Å, 2θ 47.24, rel. 26.6; 1.639 Å, 2θ 56.11, rel. 34.7

---

12.
Diffraction record for Ba2NdHg3. The X-ray powder pattern is calculated, not measured: it uses a structure optimized by DFT (GGA-PBE) and Cu Kα.
Kinematic intensities with the Lorentz-polarization factor, no thermal factor.

Crystal structure
a b c (Å): 4.043 4.043 12.385
angles (deg): 90.00 90.00 90.00
Positions (direct):
Ba  0.000  0.000  0.178
Ba  0.000  0.000  0.822
Nd  0.000  0.000  0.500
Hg  0.500  0.500  0.000
Hg  0.500  0.500  0.361
Hg  0.500  0.500  0.639

Most intense lines, 2θ from 10° to 90°, by angle:
2.888 Å, 2θ 30.96, rel. 100.0; 2.859 Å, 2θ 31.29, rel. 54.9; 2.021 Å, 2θ 44.84, rel. 20.5; 1.673 Å, 2θ 54.86, rel. 13.8; 1.656 Å, 2θ 55.48, rel. 38.9; 1.445 Å, 2θ 64.50, rel. 13.4